Ca2HfTiP4: computed powder XRD pattern (Cu Kα (weighted mean of Kα1 and Kα2)), based on a DFT-relaxed cell (GGA-PBE, Alexandria).
Neutral-atom scattering factors, no anomalous dispersion.

Most intense lines, 10 to 90 degrees two-theta, low angle first:
- 2θ 13.49, rel. 41
- 2θ 27.21, rel. 21
- 2θ 28.83, rel. 26
- 2θ 32.94, rel. 100
- 2θ 46.20, rel. 35
- 2θ 48.38, rel. 22

```
Ca2HfTiP4
1.0
6.511 0.000 0.000
0.000 3.774 0.000
-2.176 0.000 6.565
Ca Hf Ti P
2 1 1 4
direct
0.000 0.000 0.000
0.500 0.500 0.000
0.000 0.500 0.500
0.500 0.000 0.500
0.247 0.000 0.719
0.269 0.500 0.286
0.731 0.500 0.714
0.753 0.000 0.281
```



Ti2Ag5: computed powder XRD pattern (Cu Kα (weighted mean of Kα1 and Kα2)), based on a DFT-relaxed cell (GGA-PBE, Alexandria).
Neutral-atom scattering factors, no anomalous dispersion.

Most intense lines, 10 to 90 degrees two-theta, low angle first:
- 2θ 37.69, rel. 100
- 2θ 43.68, rel. 16
- 2θ 43.86, rel. 32
- 2θ 63.63, rel. 19
- 2θ 76.24, rel. 12
- 2θ 76.51, rel. 23

```
Ti2Ag5
1.0
-1.460 1.460 14.506
1.460 -1.460 14.506
1.460 1.460 -14.506
Ti Ag
2 5
direct
0.218 0.218 0.000
0.782 0.782 0.000
0.072 0.072 0.000
0.355 0.355 0.000
0.500 0.500 0.000
0.645 0.645 0.000
0.928 0.928 0.000
```